Record 1
This entry pairs a crystal structure of LiB4C4 with its theoretical powder diffractogram. Radiation: CuKα. Structure: the PBE geometry in Alexandria.

Largest 8 diffraction maxima, in order of rising 2θ, 2θ = 15–90°:
| two_theta | d [Å] | I (rel.) |
| --- | --- | --- |
| 21.4 | 4.152 | 48.1 |
| 22.6 | 3.929 | 90.2 |
| 26.4 | 3.382 | 100.0 |
| 38.7 | 2.326 | 33.5 |
| 41.2 | 2.191 | 18.1 |
| 47.4 | 1.917 | 15.3 |
| 48.3 | 1.886 | 14.0 |
| 72.2 | 1.309 | 17.2 |

Cell and atoms:
```
LiB4C4
1.0
7.892 0.000 0.000
0.000 2.712 0.000
-3.219 0.000 7.774
Li B C
2 8 8
Direct
0.000 0.000 0.000
0.000 0.500 0.500
0.009 0.000 0.734
0.254 0.500 0.002
0.294 0.500 0.455
0.424 0.000 0.298
0.576 0.000 0.702
0.706 0.500 0.545
0.746 0.500 0.998
0.991 0.000 0.266
0.099 0.500 0.819
0.189 0.000 0.407
0.317 0.000 0.101
0.487 0.500 0.401
0.513 0.500 0.599
0.683 0.000 0.899
0.811 0.000 0.593
0.901 0.500 0.181
```

Record 2
This entry pairs a crystal structure of LiB2C2 with its theoretical powder diffractogram. Radiation: CuKα. Structure: the PBE geometry in Alexandria.

Largest 8 diffraction maxima, in order of rising 2θ, 2θ = 15–90°:
| two_theta | d [Å] | I (rel.) |
| --- | --- | --- |
| 23.5 | 3.780 | 20.8 |
| 27.0 | 3.307 | 100.0 |
| 38.1 | 2.359 | 21.3 |
| 47.3 | 1.921 | 45.9 |
| 51.8 | 1.764 | 10.7 |
| 68.9 | 1.362 | 25.1 |
| 75.5 | 1.259 | 13.1 |
| 87.9 | 1.111 | 7.6 |

Cell and atoms:
```
LiB2C2
1.0
2.724 0.000 0.000
-1.362 2.359 0.000
0.000 0.000 26.458
Li B C
4 8 8
Direct
0.000 0.000 0.000
0.000 0.000 0.134
0.000 0.000 0.485
0.000 0.000 0.751
0.333 0.667 0.204
0.333 0.667 0.418
0.333 0.667 0.684
0.333 0.667 0.933
0.667 0.333 0.068
0.667 0.333 0.292
0.667 0.333 0.551
0.667 0.333 0.819
0.333 0.667 0.069
0.333 0.667 0.293
0.333 0.667 0.549
0.333 0.667 0.817
0.667 0.333 0.201
0.667 0.333 0.420
0.667 0.333 0.687
0.667 0.333 0.935
```

Record 3
This entry pairs a crystal structure of LiB4C4 with its theoretical powder diffractogram. Radiation: CuKα. Structure: the PBE geometry in Alexandria.

Largest 8 diffraction maxima, in order of rising 2θ, 2θ = 15–90°:
| two_theta | d [Å] | I (rel.) |
| --- | --- | --- |
| 23.6 | 3.770 | 100.0 |
| 30.7 | 2.908 | 4.8 |
| 38.7 | 2.327 | 6.4 |
| 39.4 | 2.285 | 4.3 |
| 40.6 | 2.224 | 3.6 |
| 45.8 | 1.980 | 12.3 |
| 46.5 | 1.954 | 7.4 |
| 48.3 | 1.885 | 8.6 |

Cell and atoms:
```
LiB4C4
1.0
4.569 0.000 0.000
0.000 7.541 0.000
0.000 0.000 5.408
Li B C
2 8 8
Direct
0.000 0.000 0.118
0.500 0.500 0.882
0.133 0.270 0.875
0.135 0.271 0.375
0.365 0.771 0.625
0.367 0.770 0.125
0.633 0.230 0.125
0.635 0.229 0.625
0.865 0.729 0.375
0.867 0.730 0.875
0.203 0.771 0.375
0.204 0.769 0.875
0.296 0.269 0.125
0.297 0.271 0.625
0.703 0.729 0.625
0.704 0.731 0.125
0.796 0.231 0.875
0.797 0.229 0.375
```

Record 4
This entry pairs a crystal structure of LiB2C2 with its theoretical powder diffractogram. Radiation: CuKα. Structure: the PBE geometry in Alexandria.

Largest 8 diffraction maxima, in order of rising 2θ, 2θ = 15–90°:
| two_theta | d [Å] | I (rel.) |
| --- | --- | --- |
| 18.1 | 4.900 | 42.4 |
| 22.7 | 3.920 | 100.0 |
| 27.3 | 3.266 | 98.9 |
| 38.1 | 2.365 | 39.0 |
| 44.8 | 2.025 | 53.3 |
| 47.5 | 1.916 | 56.4 |
| 51.3 | 1.782 | 41.4 |
| 68.8 | 1.365 | 45.9 |

Cell and atoms:
```
LiB2C2
1.0
2.731 0.000 0.000
-1.365 2.365 0.000
0.000 0.000 19.598
Li B C
3 6 6
Direct
0.000 0.000 0.000
0.000 0.000 0.184
0.000 0.000 0.816
0.333 0.667 0.275
0.333 0.667 0.550
0.333 0.667 0.909
0.667 0.333 0.091
0.667 0.333 0.450
0.667 0.333 0.725
0.333 0.667 0.090
0.333 0.667 0.448
0.333 0.667 0.729
0.667 0.333 0.271
0.667 0.333 0.552
0.667 0.333 0.910
```

Record 5
This entry pairs a crystal structure of LiB2C2 with its theoretical powder diffractogram. Radiation: CuKα. Structure: the PBE geometry in Alexandria.

Largest 8 diffraction maxima, in order of rising 2θ, 2θ = 15–90°:
| two_theta | d [Å] | I (rel.) |
| --- | --- | --- |
| 23.9 | 3.725 | 100.0 |
| 38.4 | 2.344 | 6.3 |
| 45.6 | 1.990 | 9.4 |
| 45.9 | 1.977 | 11.4 |
| 46.1 | 1.967 | 6.6 |
| 46.8 | 1.942 | 5.2 |
| 48.9 | 1.863 | 10.5 |
| 70.6 | 1.334 | 6.6 |

Cell and atoms:
```
LiB2C2
1.0
8.697 0.000 0.000
0.000 2.726 0.000
-3.960 0.000 7.867
Li B C
4 8 8
Direct
0.000 0.000 0.000
0.014 0.500 0.526
0.473 0.500 0.951
0.746 0.000 0.234
0.041 0.000 0.294
0.194 0.500 0.925
0.287 0.500 0.545
0.449 0.000 0.177
0.559 0.000 0.762
0.707 0.500 0.431
0.781 0.500 0.036
0.925 0.000 0.705
0.003 0.500 0.786
0.201 0.000 0.473
0.284 0.000 0.003
0.480 0.500 0.687
0.538 0.500 0.258
0.702 0.000 0.954
0.787 0.000 0.511
0.955 0.500 0.207
```

Record 6
This entry pairs a crystal structure of Li5B8C8 with its theoretical powder diffractogram. Radiation: CuKα. Structure: the PBE geometry in Alexandria.

Largest 8 diffraction maxima, in order of rising 2θ, 2θ = 15–90°:
| two_theta | d [Å] | I (rel.) |
| --- | --- | --- |
| 16.1 | 5.491 | 31.9 |
| 26.0 | 3.432 | 100.0 |
| 37.9 | 2.373 | 25.5 |
| 44.6 | 2.030 | 15.3 |
| 46.5 | 1.952 | 68.1 |
| 49.8 | 1.830 | 22.8 |
| 68.5 | 1.370 | 40.3 |
| 89.3 | 1.097 | 21.9 |

Cell and atoms:
```
Li5B8C8
1.0
2.740 0.000 0.000
-1.370 2.373 0.000
0.000 0.000 27.457
Li B C
5 8 8
Direct
0.000 0.000 0.000
0.000 0.000 0.128
0.000 0.000 0.257
0.000 0.000 0.743
0.000 0.000 0.872
0.333 0.667 0.064
0.333 0.667 0.322
0.333 0.667 0.594
0.333 0.667 0.807
0.667 0.333 0.193
0.667 0.333 0.406
0.667 0.333 0.678
0.667 0.333 0.936
0.333 0.667 0.192
0.333 0.667 0.407
0.333 0.667 0.680
0.333 0.667 0.936
0.667 0.333 0.064
0.667 0.333 0.320
0.667 0.333 0.593
0.667 0.333 0.808
```

Record 7
This entry pairs a crystal structure of Li7B8C8 with its theoretical powder diffractogram. Radiation: CuKα. Structure: the PBE geometry in Alexandria.

Largest 8 diffraction maxima, in order of rising 2θ, 2θ = 15–90°:
| two_theta | d [Å] | I (rel.) |
| --- | --- | --- |
| 25.9 | 3.443 | 100.0 |
| 37.9 | 2.377 | 9.4 |
| 46.4 | 1.956 | 72.2 |
| 49.6 | 1.836 | 6.7 |
| 53.2 | 1.722 | 13.7 |
| 68.4 | 1.372 | 27.6 |
| 74.4 | 1.275 | 10.3 |
| 86.7 | 1.123 | 9.6 |

Cell and atoms:
```
Li7B8C8
1.0
2.744 0.000 0.000
-1.372 2.377 0.000
0.000 0.000 27.545
Li B C
7 8 8
Direct
0.000 0.000 0.000
0.000 0.000 0.128
0.000 0.000 0.256
0.000 0.000 0.385
0.000 0.000 0.615
0.000 0.000 0.744
0.000 0.000 0.872
0.333 0.667 0.192
0.333 0.667 0.449
0.333 0.667 0.680
0.333 0.667 0.936
0.667 0.333 0.064
0.667 0.333 0.320
0.667 0.333 0.551
0.667 0.333 0.808
0.333 0.667 0.064
0.333 0.667 0.320
0.333 0.667 0.553
0.333 0.667 0.808
0.667 0.333 0.192
0.667 0.333 0.447
0.667 0.333 0.680
0.667 0.333 0.936
```

Record 8
This entry pairs a crystal structure of Li5B8C8 with its theoretical powder diffractogram. Radiation: CuKα. Structure: the PBE geometry in Alexandria.

Largest 8 diffraction maxima, in order of rising 2θ, 2θ = 15–90°:
| two_theta | d [Å] | I (rel.) |
| --- | --- | --- |
| 17.7 | 5.011 | 5.2 |
| 23.8 | 3.734 | 100.0 |
| 38.5 | 2.339 | 6.3 |
| 45.4 | 1.999 | 5.9 |
| 45.6 | 1.988 | 14.5 |
| 45.9 | 1.976 | 18.4 |
| 48.8 | 1.867 | 14.1 |
| 69.4 | 1.354 | 8.1 |

Cell and atoms:
```
Li5B8C8
1.0
7.857 -1.349 0.000
7.857 1.349 0.000
-2.920 0.000 8.923
Li B C
5 8 8
Direct
0.000 0.000 0.000
0.246 0.246 0.646
0.494 0.494 0.721
0.506 0.506 0.279
0.754 0.754 0.354
0.115 0.115 0.884
0.134 0.134 0.397
0.378 0.378 0.861
0.381 0.381 0.364
0.619 0.619 0.636
0.622 0.622 0.139
0.866 0.866 0.603
0.885 0.885 0.116
0.114 0.114 0.720
0.126 0.126 0.227
0.365 0.365 0.518
0.388 0.388 0.031
0.612 0.612 0.969
0.635 0.635 0.482
0.874 0.874 0.773
0.886 0.886 0.280
```

Record 9
This entry pairs a crystal structure of LiB4C4 with its theoretical powder diffractogram. Radiation: CuKα. Structure: the PBE geometry in Alexandria.

Largest 8 diffraction maxima, in order of rising 2θ, 2θ = 15–90°:
| two_theta | d [Å] | I (rel.) |
| --- | --- | --- |
| 25.2 | 3.534 | 100.0 |
| 38.4 | 2.343 | 5.0 |
| 38.6 | 2.334 | 9.5 |
| 46.5 | 1.953 | 8.3 |
| 46.6 | 1.948 | 16.6 |
| 51.7 | 1.767 | 10.1 |
| 69.6 | 1.351 | 6.7 |
| 75.3 | 1.262 | 7.4 |

Cell and atoms:
```
LiB4C4
1.0
7.068 0.000 0.000
0.000 2.692 0.000
0.000 0.000 9.373
Li B C
2 8 8
Direct
0.000 0.000 0.000
0.500 0.000 0.000
0.250 0.000 0.169
0.250 0.000 0.667
0.250 0.500 0.418
0.250 0.500 0.915
0.750 0.000 0.333
0.750 0.000 0.831
0.750 0.500 0.085
0.750 0.500 0.582
0.250 0.000 0.335
0.250 0.000 0.833
0.250 0.500 0.082
0.250 0.500 0.584
0.750 0.000 0.167
0.750 0.000 0.665
0.750 0.500 0.416
0.750 0.500 0.918
```

Record 10
This entry pairs a crystal structure of Li5B8C8 with its theoretical powder diffractogram. Radiation: CuKα. Structure: the PBE geometry in Alexandria.

Largest 8 diffraction maxima, in order of rising 2θ, 2θ = 15–90°:
| two_theta | d [Å] | I (rel.) |
| --- | --- | --- |
| 24.5 | 3.639 | 100.0 |
| 38.2 | 2.357 | 5.9 |
| 45.9 | 1.978 | 27.9 |
| 46.0 | 1.973 | 15.2 |
| 50.1 | 1.819 | 14.8 |
| 68.9 | 1.362 | 5.0 |
| 69.2 | 1.358 | 9.8 |
| 74.6 | 1.272 | 6.3 |

Cell and atoms:
```
Li5B8C8
1.0
4.697 0.000 0.000
0.000 5.450 0.000
-0.003 0.000 7.277
Li B C
5 8 8
Direct
0.000 0.000 0.000
0.000 0.000 0.500
0.000 0.500 0.000
0.500 0.250 0.000
0.500 0.750 0.000
0.169 0.251 0.757
0.169 0.749 0.757
0.331 0.500 0.249
0.333 0.000 0.245
0.667 0.000 0.755
0.669 0.500 0.751
0.831 0.251 0.243
0.831 0.749 0.243
0.169 0.250 0.241
0.169 0.750 0.241
0.329 0.000 0.761
0.332 0.500 0.764
0.668 0.500 0.236
0.671 0.000 0.239
0.831 0.250 0.759
0.831 0.750 0.759
```

Record 11
This entry pairs a crystal structure of LiB4C4 with its theoretical powder diffractogram. Radiation: CuKα. Structure: the PBE geometry in Alexandria.

Largest 8 diffraction maxima, in order of rising 2θ, 2θ = 15–90°:
| two_theta | d [Å] | I (rel.) |
| --- | --- | --- |
| 24.1 | 3.699 | 100.0 |
| 38.4 | 2.344 | 3.8 |
| 38.8 | 2.323 | 8.4 |
| 45.8 | 1.980 | 7.1 |
| 46.1 | 1.967 | 15.6 |
| 49.3 | 1.849 | 10.1 |
| 69.7 | 1.349 | 5.7 |
| 74.9 | 1.268 | 6.5 |

Cell and atoms:
```
LiB4C4
1.0
2.675 -7.398 0.000
2.675 7.398 0.000
0.000 0.000 4.688
Li B C
2 8 8
Direct
0.125 0.875 0.000
0.875 0.125 0.000
0.000 0.000 0.337
0.000 0.500 0.174
0.252 0.252 0.833
0.252 0.748 0.672
0.500 0.000 0.174
0.500 0.500 0.332
0.748 0.252 0.672
0.748 0.748 0.833
0.000 0.000 0.668
0.000 0.500 0.843
0.249 0.249 0.164
0.249 0.751 0.342
0.500 0.000 0.843
0.500 0.500 0.663
0.751 0.249 0.342
0.751 0.751 0.164
```

Repeat the third record exactly.
This entry pairs a crystal structure of LiB4C4 with its theoretical powder diffractogram. Radiation: CuKα. Structure: the PBE geometry in Alexandria.

Largest 8 diffraction maxima, in order of rising 2θ, 2θ = 15–90°:
| two_theta | d [Å] | I (rel.) |
| --- | --- | --- |
| 23.6 | 3.770 | 100.0 |
| 30.7 | 2.908 | 4.8 |
| 38.7 | 2.327 | 6.4 |
| 39.4 | 2.285 | 4.3 |
| 40.6 | 2.224 | 3.6 |
| 45.8 | 1.980 | 12.3 |
| 46.5 | 1.954 | 7.4 |
| 48.3 | 1.885 | 8.6 |

Cell and atoms:
```
LiB4C4
1.0
4.569 0.000 0.000
0.000 7.541 0.000
0.000 0.000 5.408
Li B C
2 8 8
Direct
0.000 0.000 0.118
0.500 0.500 0.882
0.133 0.270 0.875
0.135 0.271 0.375
0.365 0.771 0.625
0.367 0.770 0.125
0.633 0.230 0.125
0.635 0.229 0.625
0.865 0.729 0.375
0.867 0.730 0.875
0.203 0.771 0.375
0.204 0.769 0.875
0.296 0.269 0.125
0.297 0.271 0.625
0.703 0.729 0.625
0.704 0.731 0.125
0.796 0.231 0.875
0.797 0.229 0.375
```